ZrHg2I4: theoretical powder diffraction line list (Cu Kα, 1.54184 Å), based on a PBE-relaxed structure.
Peak positions follow from Bragg's law for the DFT cell and can differ from measured ones.

Largest 8 diffraction maxima, by angle, 15° ≤ 2θ ≤ 90°:
2theta, d [Å], I (rel.)
19.39, 4.577, 54
19.56, 4.539, 53
23.54, 3.779, 100
30.53, 2.928, 20
33.21, 2.698, 19
33.53, 2.673, 74
33.88, 2.646, 19
46.04, 1.971, 18

Structure:
```
ZrHg2I4
1.0
7.552 -7.562 0.000
7.552 7.562 0.000
-7.404 0.000 7.562
Zr Hg I
2 4 8
direct
0.123 0.877 0.750
0.877 0.123 0.250
0.000 0.500 0.000
0.500 0.000 0.500
0.500 0.500 0.000
0.500 0.500 0.500
0.184 0.225 0.453
0.225 0.184 0.953
0.225 0.772 0.540
0.228 0.775 0.960
0.772 0.225 0.040
0.775 0.228 0.460
0.775 0.816 0.047
0.816 0.775 0.547
```

=====

BaNpAs: theoretical powder diffraction line list (Cu Kα, 1.54184 Å), based on a PBE-relaxed structure.
Peak positions follow from Bragg's law for the DFT cell and can differ from measured ones.

Largest 8 diffraction maxima, by angle, 15° ≤ 2θ ≤ 90°:
2theta, d [Å], I (rel.)
23.62, 3.767, 32
23.82, 3.735, 22
30.44, 2.936, 55
33.46, 2.678, 100
42.02, 2.150, 36
42.81, 2.112, 16
48.77, 1.867, 19
71.33, 1.322, 23

Structure:
```
BaNpAs
1.0
6.082 0.000 0.000
0.000 6.082 0.000
-3.009 0.000 11.302
Ba Np As
4 4 4
direct
0.153 0.000 0.310
0.347 0.500 0.690
0.653 0.500 0.310
0.847 0.000 0.690
0.250 0.250 0.000
0.250 0.750 0.000
0.750 0.250 0.000
0.750 0.750 0.000
0.092 0.500 0.186
0.408 0.000 0.814
0.592 0.000 0.186
0.908 0.500 0.814
```

=====

MgMn2Ni: theoretical powder diffraction line list (Cu Kα, 1.54184 Å), based on a PBE-relaxed structure.
Peak positions follow from Bragg's law for the DFT cell and can differ from measured ones.

Largest 8 diffraction maxima, by angle, 15° ≤ 2θ ≤ 90°:
2theta, d [Å], I (rel.)
22.65, 3.926, 22
41.09, 2.197, 29
41.30, 2.186, 23
42.16, 2.143, 100
43.52, 2.079, 9
75.50, 1.259, 8
75.74, 1.256, 13
77.65, 1.230, 7

Structure:
```
MgMn2Ni
1.0
9.767 0.000 0.000
0.000 2.968 0.000
-1.958 0.000 3.933
Mg Mn Ni
2 4 2
direct
0.000 0.000 0.000
0.500 0.500 0.000
0.225 0.000 0.725
0.275 0.500 0.275
0.725 0.500 0.725
0.775 0.000 0.275
0.000 0.500 0.500
0.500 0.000 0.500
```

=====

Ag2TeI: theoretical powder diffraction line list (Cu Kα, 1.54184 Å), based on a PBE-relaxed structure.
Peak positions follow from Bragg's law for the DFT cell and can differ from measured ones.

Largest 8 diffraction maxima, by angle, 15° ≤ 2θ ≤ 90°:
2theta, d [Å], I (rel.)
24.02, 3.706, 39
24.75, 3.597, 92
25.01, 3.560, 86
30.59, 2.922, 29
38.15, 2.359, 57
39.26, 2.295, 100
43.01, 2.103, 94
46.16, 1.967, 32

Structure:
```
Ag2TeI
1.0
4.718 0.000 0.000
0.000 17.957 0.000
0.000 0.000 5.844
Ag Te I
8 4 4
direct
0.000 0.098 0.000
0.000 0.332 0.249
0.000 0.668 0.749
0.000 0.902 0.500
0.500 0.168 0.749
0.500 0.402 0.500
0.500 0.598 0.000
0.500 0.832 0.249
0.000 0.479 0.408
0.000 0.521 0.908
0.500 0.021 0.908
0.500 0.979 0.408
0.000 0.184 0.421
0.000 0.816 0.921
0.500 0.316 0.921
0.500 0.684 0.421
```

=====

LaHoPt10: theoretical powder diffraction line list (Cu Kα, 1.54184 Å), based on a PBE-relaxed structure.
Peak positions follow from Bragg's law for the DFT cell and can differ from measured ones.

Largest 8 diffraction maxima, by angle, 15° ≤ 2θ ≤ 90°:
2theta, d [Å], I (rel.)
18.98, 4.676, 31
38.46, 2.340, 19
39.02, 2.308, 100
40.54, 2.225, 35
43.70, 2.071, 36
43.81, 2.067, 17
57.15, 1.612, 18
83.90, 1.153, 18

Structure:
```
LaHoPt10
1.0
4.450 0.000 0.000
0.000 5.410 0.000
0.000 0.000 9.333
La Ho Pt
1 1 10
direct
0.000 0.000 0.000
0.000 0.500 0.500
0.000 0.000 0.337
0.000 0.000 0.663
0.000 0.500 0.172
0.000 0.500 0.828
0.500 0.000 0.500
0.500 0.252 0.253
0.500 0.252 0.747
0.500 0.500 0.000
0.500 0.748 0.253
0.500 0.748 0.747
```

=====

Na10B11C9: theoretical powder diffraction line list (Cu Kα, 1.54184 Å), based on a PBE-relaxed structure.
Peak positions follow from Bragg's law for the DFT cell and can differ from measured ones.

Largest 8 diffraction maxima, by angle, 15° ≤ 2θ ≤ 90°:
2theta, d [Å], I (rel.)
36.58, 2.457, 17
42.58, 2.123, 100
42.86, 2.110, 25
57.58, 1.601, 10
65.85, 1.418, 17
78.32, 1.221, 12
81.64, 1.179, 11
81.82, 1.177, 17

Structure:
```
Na10B11C9
1.0
2.837 0.000 0.000
-1.418 2.457 0.000
0.000 0.000 42.204
Na B C
10 11 9
direct
0.000 0.000 0.050
0.000 0.000 0.149
0.000 0.000 0.249
0.000 0.000 0.348
0.000 0.000 0.449
0.000 0.000 0.551
0.000 0.000 0.652
0.000 0.000 0.751
0.000 0.000 0.851
0.000 0.000 0.950
0.333 0.667 0.000
0.333 0.667 0.199
0.333 0.667 0.398
0.333 0.667 0.500
0.333 0.667 0.602
0.333 0.667 0.801
0.667 0.333 0.100
0.667 0.333 0.299
0.667 0.333 0.500
0.667 0.333 0.701
0.667 0.333 0.900
0.333 0.667 0.100
0.333 0.667 0.299
0.333 0.667 0.701
0.333 0.667 0.900
0.667 0.333 0.000
0.667 0.333 0.199
0.667 0.333 0.398
0.667 0.333 0.602
0.667 0.333 0.801
```

=====

Ca2PaS4: theoretical powder diffraction line list (Cu Kα, 1.54184 Å), based on a PBE-relaxed structure.
Peak positions follow from Bragg's law for the DFT cell and can differ from measured ones.

Largest 8 diffraction maxima, by angle, 15° ≤ 2θ ≤ 90°:
2theta, d [Å], I (rel.)
25.46, 3.498, 53
26.32, 3.386, 100
33.56, 2.670, 22
36.80, 2.442, 58
44.52, 2.035, 28
45.05, 2.012, 22
45.35, 2.000, 22
45.52, 1.993, 35

Structure:
```
Ca2PaS4
1.0
7.077 0.000 0.000
0.000 12.073 0.000
0.000 0.000 4.070
Ca Pa S
4 2 8
direct
0.085 0.183 0.000
0.415 0.683 0.000
0.585 0.317 0.000
0.915 0.817 0.000
0.000 0.500 0.500
0.500 0.000 0.500
0.134 0.710 0.500
0.250 0.458 0.000
0.250 0.958 0.000
0.366 0.210 0.500
0.634 0.790 0.500
0.750 0.042 0.000
0.750 0.542 0.000
0.866 0.290 0.500
```

=====

H6OsBr12: theoretical powder diffraction line list (Cu Kα, 1.54184 Å), based on a PBE-relaxed structure.
Peak positions follow from Bragg's law for the DFT cell and can differ from measured ones.

Largest 8 diffraction maxima, by angle, 15° ≤ 2θ ≤ 90°:
2theta, d [Å], I (rel.)
16.19, 5.475, 62
21.29, 4.173, 65
21.70, 4.095, 100
23.95, 3.715, 60
25.31, 3.518, 62
26.05, 3.421, 77
31.69, 2.824, 82
33.97, 2.639, 97

Structure:
```
H6OsBr12
1.0
8.598 0.000 0.000
0.686 8.581 0.000
2.447 1.638 8.467
H Os Br
6 1 12
direct
0.128 0.156 0.240
0.333 0.779 0.659
0.345 0.644 0.161
0.655 0.356 0.839
0.667 0.221 0.341
0.872 0.844 0.760
0.000 0.500 0.500
0.078 0.217 0.500
0.099 0.562 0.206
0.145 0.090 0.098
0.270 0.548 0.522
0.402 0.865 0.746
0.493 0.310 0.836
0.507 0.690 0.164
0.598 0.135 0.254
0.730 0.452 0.478
0.855 0.910 0.902
0.901 0.438 0.794
0.922 0.783 0.500
```

=====

PrNd7Tm12: theoretical powder diffraction line list (Cu Kα, 1.54184 Å), based on a PBE-relaxed structure.
Peak positions follow from Bragg's law for the DFT cell and can differ from measured ones.

Largest 8 diffraction maxima, by angle, 15° ≤ 2θ ≤ 90°:
2theta, d [Å], I (rel.)
28.89, 3.090, 25
30.75, 2.907, 30
31.65, 2.827, 100
31.81, 2.813, 47
32.62, 2.745, 24
33.12, 2.705, 53
36.53, 2.460, 16
55.43, 1.657, 26

Structure:
```
PrNd7Tm12
1.0
5.977 3.451 5.397
-5.977 3.451 5.397
0.000 -6.902 5.397
Pr Nd Tm
1 7 12
direct
0.000 0.000 0.000
0.070 0.398 0.159
0.159 0.070 0.398
0.398 0.159 0.070
0.500 0.500 0.500
0.602 0.841 0.930
0.841 0.930 0.602
0.930 0.602 0.841
0.133 0.622 0.497
0.147 0.275 0.737
0.263 0.853 0.725
0.275 0.737 0.147
0.378 0.503 0.867
0.497 0.133 0.622
0.503 0.867 0.378
0.622 0.497 0.133
0.725 0.263 0.853
0.737 0.147 0.275
0.853 0.725 0.263
0.867 0.378 0.503
```